(1)
Cs3Cu2Cl9: theoretical PXRD pattern (Cu Kα, 1.54184 Å), based on a crystal structure in Alexandria, relaxed with PBE.
No peak broadening, texture or thermal motion is included.

Largest 12 diffraction maxima, sorted by position, 10 to 90 degrees two-theta:
2θ/deg  I_rel
12.20  15
19.68  61
24.65  47
27.40  18
30.97  21
31.74  100
39.97  30
40.59  13
47.53  20
50.54  24
51.23  16
60.92  12

Cell and atoms:
Unit cell a=9.7247 b=9.7247 c=9.7247 alpha=80.07 beta=80.07 gamma=80.07
Sites, in units of the cell vectors:
Cs  0.0909  0.7500  0.4091
Cs  0.2500  0.5909  0.9091
Cs  0.4091  0.0909  0.7500
Cs  0.5909  0.9091  0.2500
Cs  0.7500  0.4091  0.0909
Cs  0.9091  0.2500  0.5909
Cu  0.1679  0.1679  0.1679
Cu  0.3321  0.3321  0.3321
Cu  0.6679  0.6679  0.6679
Cu  0.8321  0.8321  0.8321
Cl  0.0514  0.8970  0.7380
Cl  0.1018  0.3982  0.2500
Cl  0.1030  0.2620  0.9486
Cl  0.2380  0.3970  0.5514
Cl  0.2500  0.1018  0.3982
Cl  0.2620  0.9486  0.1030
Cl  0.3970  0.5514  0.2380
Cl  0.3982  0.2500  0.1018
Cl  0.4486  0.7620  0.6030
Cl  0.5514  0.2380  0.3970
Cl  0.6018  0.7500  0.8982
Cl  0.6030  0.4486  0.7620
Cl  0.7380  0.0514  0.8970
Cl  0.7500  0.8982  0.6018
Cl  0.7620  0.6030  0.4486
Cl  0.8970  0.7380  0.0514
Cl  0.8982  0.6018  0.7500
Cl  0.9486  0.1030  0.2620


(2)
CsCu3Cl8: theoretical PXRD pattern (Cu Kα, 1.54184 Å), based on a crystal structure in Alexandria, relaxed with PBE.
No peak broadening, texture or thermal motion is included.

Largest 12 diffraction maxima, sorted by position, 10 to 90 degrees two-theta:
2θ/deg  I_rel
15.86  44
18.46  97
24.72  100
27.64  72
28.42  37
29.25  57
33.66  47
37.42  41
43.92  23
47.15  43
47.81  45
48.88  47

Cell and atoms:
Unit cell a=6.4542 b=6.4542 c=9.4212 alpha=90.00 beta=90.00 gamma=120.00
Sites, in units of the cell vectors:
Cs  0.0000  0.0000  0.0000
Cu  0.0000  0.0000  0.5000
Cu  0.3333  0.6667  0.7100
Cu  0.6667  0.3333  0.2900
Cl  0.0278  0.7196  0.6488
Cl  0.2804  0.3082  0.6488
Cl  0.3082  0.0278  0.3512
Cl  0.3333  0.6667  0.9434
Cl  0.6667  0.3333  0.0566
Cl  0.6918  0.9722  0.6488
Cl  0.7196  0.6918  0.3512
Cl  0.9722  0.2804  0.3512


(3)
Cs3Cu2Cl5: theoretical PXRD pattern (Cu Kα, 1.54184 Å), based on a crystal structure in Alexandria, relaxed with PBE.
No peak broadening, texture or thermal motion is included.

Largest 12 diffraction maxima, sorted by position, 10 to 90 degrees two-theta:
2θ/deg  I_rel
20.04  46
21.17  95
22.02  75
24.37  28
24.92  72
27.60  62
28.32  100
30.05  50
31.15  26
33.22  73
38.76  41
40.20  35

Cell and atoms:
Unit cell a=9.5404 b=10.7869 c=13.3657 alpha=90.00 beta=90.00 gamma=90.00
Sites, in units of the cell vectors:
Cs  0.0287  0.0178  0.1861
Cs  0.0287  0.4822  0.1861
Cs  0.1023  0.7500  0.4677
Cs  0.3977  0.2500  0.9677
Cs  0.4713  0.5178  0.6861
Cs  0.4713  0.9822  0.6861
Cs  0.5287  0.0178  0.3139
Cs  0.5287  0.4822  0.3139
Cs  0.6023  0.7500  0.0323
Cs  0.8977  0.2500  0.5323
Cs  0.9713  0.5178  0.8139
Cs  0.9713  0.9822  0.8139
Cu  0.1896  0.7500  0.0655
Cu  0.2322  0.2500  0.3814
Cu  0.2678  0.7500  0.8814
Cu  0.3104  0.2500  0.5655
Cu  0.6896  0.7500  0.4345
Cu  0.7322  0.2500  0.1186
Cu  0.7678  0.7500  0.6186
Cu  0.8104  0.2500  0.9345
Cl  0.0230  0.2500  0.9940
Cl  0.1852  0.2500  0.7012
Cl  0.1865  0.0583  0.4329
Cl  0.1865  0.4417  0.4329
Cl  0.1930  0.7500  0.7158
Cl  0.3070  0.2500  0.2158
Cl  0.3135  0.5583  0.9329
Cl  0.3135  0.9417  0.9329
Cl  0.3148  0.7500  0.2012
Cl  0.4770  0.7500  0.4940
Cl  0.5230  0.2500  0.5060
Cl  0.6852  0.2500  0.7988
Cl  0.6865  0.0583  0.0671
Cl  0.6865  0.4417  0.0671
Cl  0.6930  0.7500  0.7842
Cl  0.8070  0.2500  0.2842
Cl  0.8135  0.5583  0.5671
Cl  0.8135  0.9417  0.5671
Cl  0.8148  0.7500  0.2988
Cl  0.9770  0.7500  0.0060


(4)
CsCu2Cl8: theoretical PXRD pattern (Cu Kα, 1.54184 Å), based on a crystal structure in Alexandria, relaxed with PBE.
No peak broadening, texture or thermal motion is included.

Largest 12 diffraction maxima, sorted by position, 10 to 90 degrees two-theta:
2θ/deg  I_rel
20.78  91
22.22  22
22.36  47
24.99  27
28.53  25
30.74  17
33.78  100
35.41  30
45.63  17
46.31  33
49.66  17
49.83  21

Cell and atoms:
Unit cell a=8.7125 b=8.7125 c=5.0705 alpha=90.10 beta=90.10 gamma=131.72
Sites, in units of the cell vectors:
Cs  0.0000  0.0000  0.0000
Cu  0.2530  0.7470  0.5000
Cu  0.7470  0.2530  0.5000
Cl  0.0896  0.3908  0.5065
Cl  0.2493  0.7507  0.0000
Cl  0.3908  0.0896  0.5065
Cl  0.4627  0.4627  0.1900
Cl  0.5373  0.5373  0.8100
Cl  0.6092  0.9104  0.4935
Cl  0.7507  0.2493  0.0000
Cl  0.9104  0.6092  0.4935


(5)
Cs2DyCuCl6: theoretical PXRD pattern (Cu Kα, 1.54184 Å), based on a crystal structure in Alexandria, relaxed with PBE.
No peak broadening, texture or thermal motion is included.

Largest 12 diffraction maxima, sorted by position, 10 to 90 degrees two-theta:
2θ/deg  I_rel
14.29  18
22.09  61
24.08  100
28.80  22
31.44  70
37.00  22
39.99  52
43.51  20
45.05  24
49.32  36
59.66  19
61.79  17

Cell and atoms:
Unit cell a=7.4838 b=7.4838 c=7.4838 alpha=114.94 beta=114.94 gamma=99.02
Sites, in units of the cell vectors:
Cs  0.2500  0.7500  0.5000
Cs  0.7500  0.2500  0.5000
Dy  0.0000  0.0000  0.0000
Cu  0.5000  0.5000  0.0000
Cl  0.2308  0.2308  0.4617
Cl  0.2308  0.7692  0.0000
Cl  0.2753  0.2753  0.0000
Cl  0.7247  0.7247  0.0000
Cl  0.7692  0.2308  0.0000
Cl  0.7692  0.7692  0.5383


(6)
CsErCu2Cl8: theoretical PXRD pattern (Cu Kα, 1.54184 Å), based on a crystal structure in Alexandria, relaxed with PBE.
No peak broadening, texture or thermal motion is included.

Largest 12 diffraction maxima, sorted by position, 10 to 90 degrees two-theta:
2θ/deg  I_rel
14.88  32
17.07  35
18.06  40
19.95  24
22.48  100
23.77  37
29.23  34
29.78  59
34.50  21
37.24  24
41.03  27
45.84  21

Cell and atoms:
Unit cell a=6.1758 b=6.1758 c=10.5767 alpha=90.26 beta=90.26 gamma=74.63
Sites, in units of the cell vectors:
Cs  0.0000  0.0000  0.0000
Er  0.0000  0.0000  0.5000
Cu  0.3687  0.3687  0.7014
Cu  0.6313  0.6313  0.2986
Cl  0.2184  0.7569  0.6882
Cl  0.2431  0.7816  0.3118
Cl  0.2681  0.2681  0.5102
Cl  0.3394  0.3394  0.9053
Cl  0.6606  0.6606  0.0947
Cl  0.7319  0.7319  0.4898
Cl  0.7569  0.2184  0.6882
Cl  0.7816  0.2431  0.3118


Copy entry 2 word for word.
CsCu3Cl8: theoretical PXRD pattern (Cu Kα, 1.54184 Å), based on a crystal structure in Alexandria, relaxed with PBE.
No peak broadening, texture or thermal motion is included.

Largest 12 diffraction maxima, sorted by position, 10 to 90 degrees two-theta:
2θ/deg  I_rel
15.86  44
18.46  97
24.72  100
27.64  72
28.42  37
29.25  57
33.66  47
37.42  41
43.92  23
47.15  43
47.81  45
48.88  47

Cell and atoms:
Unit cell a=6.4542 b=6.4542 c=9.4212 alpha=90.00 beta=90.00 gamma=120.00
Sites, in units of the cell vectors:
Cs  0.0000  0.0000  0.0000
Cu  0.0000  0.0000  0.5000
Cu  0.3333  0.6667  0.7100
Cu  0.6667  0.3333  0.2900
Cl  0.0278  0.7196  0.6488
Cl  0.2804  0.3082  0.6488
Cl  0.3082  0.0278  0.3512
Cl  0.3333  0.6667  0.9434
Cl  0.6667  0.3333  0.0566
Cl  0.6918  0.9722  0.6488
Cl  0.7196  0.6918  0.3512
Cl  0.9722  0.2804  0.3512


> Which formula does entry 4 have?

CsCu2Cl8